This entry pairs a crystal structure of CaH6S4O16 with its simulated X-ray diffraction stick pattern. Radiation: copper Kα. Structure: DFT lattice parameters and positions (GGA-PBE).

Atomic structure:
a = 5.4832 Å, b = 8.3139 Å, c = 8.5601 Å
α = 87.91°, β = 83.88°, γ = 84.16°
Space group P-1 (No. 2)
Asymmetric unit:
Ca (0.0000, 0.0000, 0.0000) [1 per cell]
H (0.1762, 0.4103, 0.7691) [2 per cell]
H (0.3493, 0.1564, 0.3831) [2 per cell]
H (0.4488, 0.3042, 0.5690) [2 per cell]
S (0.0851, 0.6612, 0.7277) [2 per cell]
S (0.4569, 0.8652, 0.2459) [2 per cell]
O (0.0305, 0.4877, 0.8037) [2 per cell]
O (0.0427, 0.2254, 0.1555) [2 per cell]
O (0.0755, 0.3186, 0.4289) [2 per cell]
O (0.2997, 0.0833, 0.8089) [2 per cell]
O (0.3092, 0.8416, 0.1180) [2 per cell]
O (0.3278, 0.9618, 0.3745) [2 per cell]
O (0.3442, 0.2786, 0.3922) [2 per cell]
O (0.4884, 0.3152, 0.6809) [2 per cell]

Largest 10 diffraction maxima, most intense first, 2θ from 10° to 90°:
22.35 deg, I 100
23.67 deg, I 60
20.42 deg, I 31
20.88 deg, I 26
10.70 deg, I 26
28.33 deg, I 19
34.47 deg, I 14
14.74 deg, I 13
18.66 deg, I 13
35.06 deg, I 12


This entry pairs a crystal structure of CaH6S4O16 with its simulated X-ray diffraction stick pattern. Radiation: copper Kα. Structure: DFT lattice parameters and positions (GGA-PBE).

Atomic structure:
a = 5.4932 Å, b = 7.8829 Å, c = 8.7621 Å
α = 88.35°, β = 76.63°, γ = 80.25°
Space group P-1 (No. 2)
Asymmetric unit:
Ca (0.0000, 0.0000, 0.0000) [1 per cell]
H (0.2789, 0.0305, 0.3913) [2 per cell]
H (0.2811, 0.4747, 0.6709) [2 per cell]
H (0.3141, 0.5285, 0.1998) [2 per cell]
S (0.0650, 0.3377, 0.2605) [2 per cell]
S (0.4677, 0.8217, 0.2354) [2 per cell]
O (0.0443, 0.7574, 0.8382) [2 per cell]
O (0.1477, 0.5483, 0.6209) [2 per cell]
O (0.2086, 0.4627, 0.1477) [2 per cell]
O (0.2296, 0.2415, 0.3510) [2 per cell]
O (0.2886, 0.1177, 0.8028) [2 per cell]
O (0.3148, 0.8708, 0.1200) [2 per cell]
O (0.3150, 0.9012, 0.3994) [2 per cell]
O (0.4968, 0.6336, 0.2632) [2 per cell]

Largest 10 diffraction maxima, most intense first, 2θ from 10° to 90°:
23.21 deg, I 100
22.49 deg, I 98
20.84 deg, I 69
25.12 deg, I 68
25.30 deg, I 51
19.50 deg, I 39
25.99 deg, I 31
21.77 deg, I 27
35.97 deg, I 26
27.45 deg, I 22